Record 1
Theoretical powder diffraction line list
Compound: NdFe5P3
Radiation: copper Kα
Structure: a DFT-relaxed cell (PBE, Alexandria)

Atomic structure:
Cell: 3.737 11.904 10.850 Å, 90.00 90.00 90.00°
Space group Cmcm (No. 63)
Unique sites:
Nd1 0.000 0.176 0.250 [4 per cell]
Fe1 0.000 0.000 0.000 [4 per cell]
Fe2 0.000 0.190 0.562 [8 per cell]
Fe3 0.000 0.460 0.140 [8 per cell]
P1 0.000 0.105 0.750 [4 per cell]
P2 0.000 0.370 0.542 [8 per cell]

Largest 8 diffraction maxima, in order of rising 2θ, 2θ from 10° to 90°:
Position (°2θ)  I (rel.)
28.9  34
31.2  47
32.9  68
35.3  100
37.0  64
41.8  65
45.2  33
48.7  52

Record 2
Theoretical powder diffraction line list
Compound: NdFeP2Rh
Radiation: copper Kα
Structure: a DFT-relaxed cell (PBE, Alexandria)

Atomic structure:
Cell: 3.951 3.951 9.959 Å, 90.00 90.00 90.00°
Space group I-4m2 (No. 119)
Unique sites:
Nd1 0.000 0.000 0.000 [2 per cell]
Fe1 0.000 0.500 0.750 [2 per cell]
P1 0.000 0.000 0.375 [4 per cell]
Rh1 0.000 0.500 0.250 [2 per cell]

Largest 8 diffraction maxima, in order of rising 2θ, 2θ from 10° to 90°:
Position (°2θ)  I (rel.)
24.2  37
35.3  44
36.1  17
36.9  100
45.9  38
59.2  19
65.4  18
79.0  21

Record 3
Theoretical powder diffraction line list
Compound: NdFeP2Ru
Radiation: copper Kα
Structure: a DFT-relaxed cell (PBE, Alexandria)

Atomic structure:
Cell: 3.965 3.965 10.115 Å, 90.00 90.00 90.00°
Space group I-4m2 (No. 119)
Unique sites:
Nd1 0.000 0.000 0.000 [2 per cell]
Fe1 0.000 0.500 0.250 [2 per cell]
P1 0.000 0.000 0.364 [4 per cell]
Ru1 0.000 0.500 0.750 [2 per cell]

Largest 8 diffraction maxima, in order of rising 2θ, 2θ from 10° to 90°:
Position (°2θ)  I (rel.)
24.1  41
34.9  52
35.5  19
36.6  100
45.8  40
58.8  22
64.5  23
78.6  21

Record 4
Theoretical powder diffraction line list
Compound: Nd6Fe13Pb
Radiation: copper Kα
Structure: a DFT-relaxed cell (PBE, Alexandria)

Atomic structure:
Cell: 8.056 8.056 23.650 Å, 90.00 90.00 90.00°
Space group I4/mcm (No. 140)
Unique sites:
Nd1 0.000 0.000 0.103 [8 per cell]
Nd2 0.163 0.337 0.183 [16 per cell]
Fe1 0.000 0.500 0.000 [4 per cell]
Fe2 0.067 0.210 0.500 [16 per cell]
Fe3 0.113 0.387 0.408 [16 per cell]
Fe4 0.179 0.321 0.058 [16 per cell]
Pb1 0.000 0.000 0.250 [4 per cell]

Largest 8 diffraction maxima, in order of rising 2θ, 2θ from 10° to 90°:
Position (°2θ)  I (rel.)
27.2  74
27.5  39
31.2  67
31.8  52
34.2  42
35.2  100
37.7  67
42.6  49

Record 5
Theoretical powder diffraction line list
Compound: Nd3FeSi2Pt9
Radiation: copper Kα
Structure: a DFT-relaxed cell (PBE, Alexandria)

Atomic structure:
Cell: 6.4009 6.4009 8.8450 Å, 90.00 90.00 120.00°
Space group P-3m1 (No. 164)
Unique sites:
Nd1 0.0000 0.0000 0.0000 [1 per cell]
Nd2 0.3333 0.6667 0.6915 [2 per cell]
Fe1 0.0000 0.0000 0.5000 [1 per cell]
Si1 0.3333 0.6667 0.1840 [2 per cell]
Pt1 0.0000 0.5000 0.0000 [3 per cell]
Pt2 0.1433 0.2866 0.2809 [6 per cell]

Largest 8 diffraction maxima, in order of rising 2θ, 2θ from 10° to 90°:
Position (°2θ)  I (rel.)
10.0  20
30.3  27
33.9  100
38.3  88
44.9  21
53.0  16
57.6  24
62.3  16

Record 6
Theoretical powder diffraction line list
Compound: NdFeS
Radiation: copper Kα
Structure: a DFT-relaxed cell (PBE, Alexandria)

Atomic structure:
Cell: 4.5892 4.5892 22.7358 Å, 90.00 90.00 120.00°
Space group R-3m (No. 166, hexagonal axes)
Unique sites:
Nd1 0.0000 0.0000 0.0856 [6 per cell]
Fe1 0.0000 0.0000 0.3236 [6 per cell]
S1 0.0000 0.0000 0.2173 [6 per cell]

Largest 8 diffraction maxima, in order of rising 2θ, 2θ from 10° to 90°:
Position (°2θ)  I (rel.)
22.7  82
23.5  23
27.4  25
29.9  79
35.7  57
39.0  22
39.3  100
46.3  23

Record 7
Theoretical powder diffraction line list
Compound: Nd2FeSb4
Radiation: copper Kα
Structure: a DFT-relaxed cell (PBE, Alexandria)

Atomic structure:
Cell: 4.426 4.426 9.682 Å, 90.00 90.00 90.00°
Space group P-4m2 (No. 115)
Unique sites:
Nd1 0.000 0.500 0.239 [2 per cell]
Fe1 0.500 0.500 0.000 [1 per cell]
Sb1 0.000 0.000 0.500 [1 per cell]
Sb2 0.000 0.500 0.875 [2 per cell]
Sb3 0.500 0.500 0.500 [1 per cell]

Largest 8 diffraction maxima, in order of rising 2θ, 2θ from 10° to 90°:
Position (°2θ)  I (rel.)
27.3  23
30.0  57
34.1  100
34.4  59
40.8  61
54.4  32
67.7  26
70.0  24

Record 8
Theoretical powder diffraction line list
Compound: Nd3Fe3Sb7
Radiation: copper Kα
Structure: a DFT-relaxed cell (PBE, Alexandria)

Atomic structure:
Cell: 13.2969 13.2969 4.2046 Å, 90.00 90.00 120.00°
Space group P6_3/m (No. 176)
Unique sites:
Nd1 0.1829 0.4609 0.2500 [6 per cell]
Fe1 0.0510 0.9255 0.2500 [6 per cell]
Sb1 0.0233 0.5892 0.2500 [6 per cell]
Sb2 0.0836 0.8124 0.7500 [6 per cell]
Sb3 0.3333 0.6667 0.7500 [2 per cell]

Largest 8 diffraction maxima, in order of rising 2θ, 2θ from 10° to 90°:
Position (°2θ)  I (rel.)
27.9  42
29.5  86
31.6  23
34.4  22
35.3  100
35.7  45
43.0  33
57.1  23

Record 9
Theoretical powder diffraction line list
Compound: NdFe10Si2
Radiation: copper Kα
Structure: a DFT-relaxed cell (PBE, Alexandria)

Atomic structure:
Cell: 8.401 9.655 8.216 Å, 90.00 90.00 90.00°
Space group Cmcm (No. 63)
Unique sites:
Nd1 0.000 0.121 0.250 [4 per cell]
Fe1 0.000 0.164 0.603 [8 per cell]
Fe2 0.000 0.394 0.076 [8 per cell]
Fe3 0.139 0.381 0.750 [8 per cell]
Fe4 0.234 0.000 0.000 [8 per cell]
Fe5 0.241 0.371 0.250 [8 per cell]
Si1 0.250 0.250 0.000 [8 per cell]

Largest 8 diffraction maxima, in order of rising 2θ, 2θ from 10° to 90°:
Position (°2θ)  I (rel.)
37.2  27
37.8  47
40.1  45
43.1  39
43.2  31
43.5  56
43.7  100
79.4  27

Record 10
Theoretical powder diffraction line list
Compound: NdFe4Si2
Radiation: copper Kα
Structure: a DFT-relaxed cell (PBE, Alexandria)

Atomic structure:
Cell: 7.229 7.229 3.727 Å, 90.00 90.00 90.00°
Space group P4_2/mnm (No. 136)
Unique sites:
Nd1 0.000 0.000 0.000 [2 per cell]
Fe1 0.081 0.355 0.500 [8 per cell]
Si1 0.221 0.779 0.500 [4 per cell]

Largest 8 diffraction maxima, in order of rising 2θ, 2θ from 10° to 90°:
Position (°2θ)  I (rel.)
24.6  23
26.9  26
36.8  100
39.4  46
42.9  27
46.6  28
48.9  22
64.5  21

Record 11
Theoretical powder diffraction line list
Compound: Nd2FeSi3
Radiation: copper Kα
Structure: a DFT-relaxed cell (PBE, Alexandria)

Atomic structure:
Cell: 4.0856 4.0856 8.4455 Å, 90.00 90.00 120.00°
Space group P-6m2 (No. 187)
Unique sites:
Nd1 0.0000 0.0000 0.2467 [2 per cell]
Fe1 0.3333 0.6667 0.0000 [1 per cell]
Si1 0.3333 0.6667 0.5000 [1 per cell]
Si2 0.6667 0.3333 0.0000 [1 per cell]
Si3 0.6667 0.3333 0.5000 [1 per cell]

Largest 8 diffraction maxima, in order of rising 2θ, 2θ from 10° to 90°:
Position (°2θ)  I (rel.)
25.2  36
33.0  100
42.8  11
44.3  31
50.3  11
56.4  21
63.4  21
74.4  19

Record 12
Theoretical powder diffraction line list
Compound: Nd2FeSi5
Radiation: copper Kα
Structure: a DFT-relaxed cell (PBE, Alexandria)

Atomic structure:
Cell: 5.771 5.771 9.045 Å, 90.00 90.00 90.00°
Space group I4mm (No. 107)
Unique sites:
Nd1 0.000 0.500 0.000 [4 per cell]
Fe1 0.000 0.000 0.302 [2 per cell]
Si1 0.000 0.000 0.555 [2 per cell]
Si2 0.218 0.218 0.756 [8 per cell]

Largest 8 diffraction maxima, in order of rising 2θ, 2θ from 10° to 90°:
Position (°2θ)  I (rel.)
21.8  39
29.5  100
31.0  32
37.0  73
44.4  35
45.9  22
54.2  32
61.2  21